1.
For ZnH8C4N8Cl2, a crystal structure in OQMD, relaxed with GGA-PBE gives the simulated XRD peak list in this record (a wavelength of 1.5418 Å).

Principal peaks in the range 5° ≤ 2θ ≤ 70°, by angle:
2theta, I_rel
12.43, 99
12.78, 75
20.61, 100
21.59, 95
22.73, 82
23.75, 93
28.58, 73
29.22, 89

Atomic structure:
Unit cell a=5.044 b=8.645 c=12.163 alpha=88.02 beta=86.08 gamma=85.26
Fractional positions:
Zn  0.024  0.259  0.267
Zn  0.976  0.741  0.733
H  0.121  0.855  0.488
H  0.128  0.246  0.847
H  0.132  0.073  0.929
H  0.205  0.604  0.421
H  0.215  0.561  0.120
H  0.295  0.009  0.428
H  0.485  0.567  0.328
H  0.495  0.393  0.958
H  0.505  0.607  0.042
H  0.515  0.433  0.672
H  0.705  0.991  0.572
H  0.785  0.439  0.880
H  0.795  0.396  0.579
H  0.868  0.927  0.071
H  0.872  0.754  0.153
H  0.879  0.145  0.512
C  0.193  0.774  0.041
C  0.295  0.033  0.697
C  0.411  0.792  0.369
C  0.485  0.166  0.093
C  0.515  0.834  0.907
C  0.589  0.208  0.631
C  0.705  0.967  0.303
C  0.807  0.226  0.959
N  0.042  0.181  0.909
N  0.198  0.913  0.702
N  0.268  0.893  0.434
N  0.292  0.189  0.152
N  0.304  0.875  0.968
N  0.309  0.633  0.065
N  0.353  0.644  0.370
N  0.383  0.168  0.700
N  0.617  0.832  0.300
N  0.647  0.356  0.630
N  0.691  0.367  0.935
N  0.696  0.125  0.032
N  0.708  0.811  0.848
N  0.732  0.107  0.566
N  0.802  0.087  0.298
N  0.958  0.819  0.091
Cl  0.188  0.296  0.433
Cl  0.194  0.524  0.800
Cl  0.806  0.476  0.200
Cl  0.812  0.704  0.567

2.
For Pr4CBrF4, a crystal structure in OQMD, relaxed with GGA-PBE gives the simulated XRD peak list in this record (a wavelength of 1.5418 Å).

Principal peaks in the range 5° ≤ 2θ ≤ 70°, by angle:
2theta, I_rel
12.79, 30
23.91, 39
25.75, 42
28.60, 32
29.36, 75
31.72, 33
32.55, 100
48.71, 56

Atomic structure:
Unit cell a=7.739 b=7.739 c=8.315 alpha=122.46 beta=122.46 gamma=28.71
Fractional positions:
Pr  0.016  0.016  0.220
Pr  0.304  0.304  0.834
Pr  0.696  0.696  0.166
Pr  0.984  0.984  0.780
C  0.500  0.500  0.000
Br  0.500  0.500  0.500
F  0.183  0.183  0.962
F  0.216  0.216  0.361
F  0.784  0.784  0.639
F  0.817  0.817  0.038

3.
For ScAuSO, a crystal structure in OQMD, relaxed with GGA-PBE gives the simulated XRD peak list in this record (a wavelength of 1.5418 Å).

Principal peaks in the range 5° ≤ 2θ ≤ 70°, by angle:
2theta, I_rel
9.72, 100
19.51, 39
29.44, 14
35.74, 22
37.52, 13
38.85, 25
39.77, 20
42.63, 18

Atomic structure:
Unit cell a=5.227 b=9.101 c=5.395 alpha=90.00 beta=90.00 gamma=90.00
Fractional positions:
Sc  0.000  0.109  0.250
Sc  0.000  0.891  0.750
Sc  0.500  0.109  0.750
Sc  0.500  0.891  0.250
Au  0.250  0.500  0.164
Au  0.250  0.500  0.664
Au  0.750  0.500  0.336
Au  0.750  0.500  0.836
S  0.000  0.273  0.750
S  0.000  0.727  0.250
S  0.500  0.273  0.250
S  0.500  0.727  0.750
O  0.250  0.000  0.003
O  0.250  0.000  0.503
O  0.750  0.000  0.497
O  0.750  0.000  0.997

4.
For HoEr2AgHg3Au2, a crystal structure in OQMD, relaxed with GGA-PBE gives the simulated XRD peak list in this record (a wavelength of 1.5418 Å).

Principal peaks in the range 5° ≤ 2θ ≤ 70°, by angle:
2theta, I_rel
33.07, 100
34.45, 47
35.61, 70
39.24, 58
42.46, 27
49.25, 20
64.08, 35
64.71, 27

Atomic structure:
Unit cell a=3.700 b=7.954 c=7.954 alpha=120.04 beta=90.00 gamma=90.00
Fractional positions:
Ho  0.000  0.000  0.000
Er  0.000  0.196  0.598
Er  0.000  0.598  0.196
Ag  0.000  0.598  0.598
Hg  0.500  0.326  0.326
Hg  0.500  0.598  0.871
Hg  0.500  0.871  0.598
Au  0.500  0.266  0.931
Au  0.500  0.931  0.266

5.
For Rb6FeS6, a crystal structure in OQMD, relaxed with GGA-PBE gives the simulated XRD peak list in this record (a wavelength of 1.5418 Å).

Principal peaks in the range 5° ≤ 2θ ≤ 70°, by angle:
2theta, I_rel
22.85, 100
25.74, 45
28.72, 45
29.45, 52
30.11, 57
30.24, 73
31.54, 65
31.81, 61

Atomic structure:
Unit cell a=8.709 b=9.421 c=11.896 alpha=77.49 beta=71.71 gamma=63.93
Fractional positions:
Rb  0.003  0.261  0.085
Rb  0.210  0.071  0.796
Rb  0.237  0.151  0.436
Rb  0.241  0.809  0.336
Rb  0.278  0.490  0.616
Rb  0.423  0.426  0.161
Rb  0.577  0.574  0.839
Rb  0.722  0.510  0.384
Rb  0.759  0.191  0.664
Rb  0.763  0.849  0.564
Rb  0.790  0.929  0.204
Rb  0.997  0.739  0.915
Fe  0.478  0.860  0.042
Fe  0.522  0.140  0.958
S  0.055  0.546  0.414
S  0.135  0.872  0.631
S  0.238  0.823  0.048
S  0.323  0.354  0.883
S  0.398  0.067  0.147
S  0.415  0.779  0.575
S  0.585  0.221  0.425
S  0.602  0.933  0.853
S  0.677  0.646  0.117
S  0.762  0.177  0.952
S  0.865  0.128  0.369
S  0.945  0.454  0.586

6.
For Li4CoSn2Pt, a crystal structure in OQMD, relaxed with GGA-PBE gives the simulated XRD peak list in this record (a wavelength of 1.5418 Å).

Principal peaks in the range 5° ≤ 2θ ≤ 70°, by angle:
2theta, I_rel
14.23, 8
20.22, 12
24.82, 100
32.22, 11
41.08, 94
48.59, 49
59.55, 11
65.47, 20

Atomic structure:
Unit cell a=4.391 b=4.391 c=6.223 alpha=90.00 beta=90.00 gamma=90.00
Fractional positions:
Li  0.000  0.000  0.000
Li  0.000  0.500  0.249
Li  0.500  0.000  0.751
Li  0.500  0.500  0.500
Co  0.500  0.500  0.000
Sn  0.000  0.500  0.769
Sn  0.500  0.000  0.231
Pt  0.000  0.000  0.500

7.
For Hf2ZrNi4Bi4, a crystal structure in OQMD, relaxed with GGA-PBE gives the simulated XRD peak list in this record (a wavelength of 1.5418 Å).

Principal peaks in the range 5° ≤ 2θ ≤ 70°, by angle:
2theta, I_rel
24.93, 34
28.74, 61
29.12, 27
41.09, 53
41.37, 100
51.15, 24
59.51, 18
67.41, 12

Atomic structure:
Unit cell a=7.545 b=7.545 c=7.545 alpha=131.37 beta=131.37 gamma=71.23
Fractional positions:
Hf  0.250  0.750  0.500
Hf  0.750  0.250  0.500
Zr  0.000  0.000  0.000
Ni  0.105  0.105  0.472
Ni  0.367  0.895  0.000
Ni  0.633  0.633  0.528
Ni  0.895  0.367  0.000
Bi  0.000  0.500  0.500
Bi  0.267  0.267  0.000
Bi  0.500  0.000  0.500
Bi  0.733  0.733  0.000

8.
For Sr2GaSn3Pt2, a crystal structure in OQMD, relaxed with GGA-PBE gives the simulated XRD peak list in this record (a wavelength of 1.5418 Å).

Principal peaks in the range 5° ≤ 2θ ≤ 70°, by angle:
2theta, I_rel
15.17, 49
24.48, 21
31.96, 56
32.83, 100
38.86, 63
40.75, 34
41.80, 44
53.29, 21

Atomic structure:
Unit cell a=6.247 b=6.247 c=7.601 alpha=90.02 beta=90.02 gamma=41.52
Fractional positions:
Sr  0.000  0.000  0.000
Sr  0.128  0.128  0.481
Ga  0.402  0.402  0.284
Sn  0.421  0.421  0.679
Sn  0.714  0.714  0.184
Sn  0.719  0.719  0.778
Pt  0.281  0.281  0.985
Pt  0.859  0.859  0.472

9.
For TbSmZn2Sn2, a crystal structure in OQMD, relaxed with GGA-PBE gives the simulated XRD peak list in this record (a wavelength of 1.5418 Å).

Principal peaks in the range 5° ≤ 2θ ≤ 70°, by angle:
2theta, I_rel
28.21, 15
31.93, 100
39.73, 60
45.34, 7
45.93, 13
51.85, 26
61.84, 17
67.24, 24

Atomic structure:
Unit cell a=4.537 b=4.537 c=16.000 alpha=90.00 beta=90.00 gamma=120.00
Fractional positions:
Tb  0.000  0.000  0.000
Tb  0.000  0.000  0.500
Sm  0.000  0.000  0.250
Sm  0.000  0.000  0.750
Zn  0.333  0.667  0.157
Zn  0.333  0.667  0.343
Zn  0.667  0.333  0.657
Zn  0.667  0.333  0.843
Sn  0.333  0.667  0.613
Sn  0.333  0.667  0.887
Sn  0.667  0.333  0.113
Sn  0.667  0.333  0.387

10.
For NdTmW2C3, a crystal structure in OQMD, relaxed with GGA-PBE gives the simulated XRD peak list in this record (a wavelength of 1.5418 Å).

Principal peaks in the range 5° ≤ 2θ ≤ 70°, by angle:
2theta, I_rel
31.08, 32
32.58, 40
33.83, 26
34.36, 100
35.72, 78
36.54, 23
43.42, 23
55.19, 24

Atomic structure:
Unit cell a=6.223 b=6.223 c=5.778 alpha=112.57 beta=112.57 gamma=31.21
Fractional positions:
Nd  0.000  0.000  0.000
Tm  0.782  0.782  0.364
W  0.238  0.238  0.867
W  0.552  0.552  0.516
C  0.147  0.147  0.459
C  0.391  0.391  0.203
C  0.647  0.647  0.923